No. 1
For Ta2Nb4W3, a PBE-relaxed structure gives the theoretical X-ray powder pattern in this record (Cu Kα, 1.54184 Å).
Peak positions follow from Bragg's law for the DFT cell and can differ from measured ones.

Structural model:
```
data_Ta2Nb4W3
_space_group_name_H-M_alt 'P -3 m 1'
_space_group_IT_number 164
_space_group_name_Hall '-P 3 2"'
_cell_length_a 4.6317
_cell_length_b 4.6317
_cell_length_c 8.4325
_cell_angle_alpha 90.00
_cell_angle_beta 90.00
_cell_angle_gamma 120.00
loop_
_atom_site_label
_atom_site_fract_x
_atom_site_fract_y
_atom_site_fract_z
Ta1 0.3333 0.6667 0.2268
Nb1 0.0000 0.0000 0.3342
Nb2 0.3333 0.6667 0.8893
W1 0.0000 0.0000 0.0000
W2 0.3333 0.6667 0.5538
```

The 6 most intense peaks (5 to 70 degrees two-theta), low angle first:
d/Å	two_theta	I/Imax
3.622	24.58	13
2.906	30.77	6
2.316	38.89	100
2.302	39.13	99
1.633	56.35	34
1.559	59.28	3

No. 2
For Ta5Nb2W4, a PBE-relaxed structure gives the theoretical X-ray powder pattern in this record (Cu Kα, 1.54184 Å).
Peak positions follow from Bragg's law for the DFT cell and can differ from measured ones.

Structural model:
```
data_Ta5Nb2W4
_space_group_name_H-M_alt 'P b a m'
_space_group_IT_number 55
_space_group_name_Hall '-P 2 2ab'
_cell_length_a 7.1744
_cell_length_b 17.0200
_cell_length_c 3.2380
_cell_angle_alpha 90.00
_cell_angle_beta 90.00
_cell_angle_gamma 90.00
loop_
_atom_site_label
_atom_site_fract_x
_atom_site_fract_y
_atom_site_fract_z
Ta1 0.0000 0.0000 0.0000
Ta2 0.0988 0.4152 0.0000
Ta3 0.2027 0.1701 0.0000
Nb1 0.0155 0.2825 0.5000
W1 0.1006 0.8669 0.5000
W2 0.2038 0.5425 0.5000
```

The 6 most intense peaks (5 to 70 degrees two-theta), low angle first:
d/Å	two_theta	I/Imax
2.425	37.07	91
2.380	37.80	46
2.313	38.94	78
2.303	39.12	100
2.230	40.46	72
2.213	40.77	48

No. 3
For Ta3Nb6W2, a PBE-relaxed structure gives the theoretical X-ray powder pattern in this record (Cu Kα, 1.54184 Å).
Peak positions follow from Bragg's law for the DFT cell and can differ from measured ones.

Structural model:
```
data_Ta3Nb6W2
_space_group_name_H-M_alt 'I m m m'
_space_group_IT_number 71
_space_group_name_Hall '-I 2 2'
_cell_length_a 2.6730
_cell_length_b 4.8291
_cell_length_c 31.0841
_cell_angle_alpha 90.00
_cell_angle_beta 90.00
_cell_angle_gamma 90.00
loop_
_atom_site_label
_atom_site_fract_x
_atom_site_fract_y
_atom_site_fract_z
Ta1 0.0000 0.0000 0.0000
Ta2 0.0000 0.0000 0.1822
Nb1 0.0000 0.0000 0.2753
Nb2 0.0000 0.5000 0.1329
Nb3 0.0000 0.5000 0.4090
W1 0.0000 0.0000 0.4568
```

The 6 most intense peaks (5 to 70 degrees two-theta), low angle first:
d/Å	two_theta	I/Imax
15.542	5.69	26
2.439	36.85	100
2.415	37.24	49
2.339	38.49	21
2.290	39.34	20
2.239	40.27	43

No. 4
For TaNbW4, a PBE-relaxed structure gives the theoretical X-ray powder pattern in this record (Cu Kα, 1.54184 Å).
Peak positions follow from Bragg's law for the DFT cell and can differ from measured ones.

Structural model:
```
data_TaNbW4
_space_group_name_H-M_alt 'P -3 m 1'
_space_group_IT_number 164
_space_group_name_Hall '-P 3 2"'
_cell_length_a 4.5490
_cell_length_b 4.5490
_cell_length_c 5.5855
_cell_angle_alpha 90.00
_cell_angle_beta 90.00
_cell_angle_gamma 120.00
loop_
_atom_site_label
_atom_site_fract_x
_atom_site_fract_y
_atom_site_fract_z
Ta1 0.0000 0.0000 0.0000
Nb1 0.0000 0.0000 0.5000
W1 0.3333 0.6667 0.3303
W2 0.3333 0.6667 0.8313
```

The 6 most intense peaks (5 to 70 degrees two-theta), low angle first:
d/Å	two_theta	I/Imax
5.586	15.87	1
3.940	22.57	2
3.219	27.71	2
2.276	39.59	100
2.107	42.93	1
1.610	57.23	17

No. 5
For Ta2Nb3W3, a PBE-relaxed structure gives the theoretical X-ray powder pattern in this record (Cu Kα, 1.54184 Å).
Peak positions follow from Bragg's law for the DFT cell and can differ from measured ones.

Structural model:
```
data_Ta2Nb3W3
_space_group_name_H-M_alt 'I m m m'
_space_group_IT_number 71
_space_group_name_Hall '-I 2 2'
_cell_length_a 3.2649
_cell_length_b 4.6500
_cell_length_c 18.2756
_cell_angle_alpha 90.00
_cell_angle_beta 90.00
_cell_angle_gamma 90.00
loop_
_atom_site_label
_atom_site_fract_x
_atom_site_fract_y
_atom_site_fract_z
Ta1 0.0000 0.0000 0.2472
Nb1 0.0000 0.0000 0.0000
Nb2 0.0000 0.5000 0.1227
W1 0.0000 0.0000 0.5000
W2 0.0000 0.5000 0.3750
```

The 6 most intense peaks (5 to 70 degrees two-theta), low angle first:
d/Å	two_theta	I/Imax
3.696	24.08	6
2.325	38.73	26
2.307	39.05	100
2.284	39.44	24
1.632	56.36	9
1.629	56.47	17

No. 6
For TaNbZnW, a PBE-relaxed structure gives the theoretical X-ray powder pattern in this record (Cu Kα, 1.54184 Å).
Peak positions follow from Bragg's law for the DFT cell and can differ from measured ones.

Structural model:
```
data_TaNbZnW
_space_group_name_H-M_alt 'F -4 3 m'
_space_group_IT_number 216
_space_group_name_Hall 'F -4 2 3'
_cell_length_a 6.4651
_cell_length_b 6.4651
_cell_length_c 6.4651
_cell_angle_alpha 90.00
_cell_angle_beta 90.00
_cell_angle_gamma 90.00
loop_
_atom_site_label
_atom_site_fract_x
_atom_site_fract_y
_atom_site_fract_z
Ta1 0.0000 0.0000 0.0000
Nb1 0.0000 0.0000 0.5000
Zn1 0.2500 0.2500 0.2500
W1 0.2500 0.2500 0.7500
```

The 5 most intense peaks (5 to 70 degrees two-theta), low angle first:
d/Å	two_theta	I/Imax
3.733	23.84	16
2.286	39.42	100
1.949	46.59	9
1.616	56.98	17
1.483	62.63	4